Diffraction record for AgBSe2. The powder X-ray diffraction pattern is simulated, not measured: it uses a DFT-relaxed cell (GGA-PBE, Alexandria) and λ = 1.5418 Å (Cu Kα).

Structure:
```
AgBSe2
1.0
4.657 0.000 0.000
1.568 5.719 0.000
2.318 0.005 7.456
Ag B Se
2 2 4
direct
0.000 0.000 0.000
0.402 0.499 0.198
0.525 0.359 0.706
0.632 0.859 0.492
0.451 0.214 0.943
0.505 0.698 0.722
0.629 0.198 0.476
0.796 0.714 0.255
```

Principal peaks in the range 2θ = 15–90°, sorted by position:
- 2θ = 20.7°, I 48, hkl 1 0 1
- 2θ = 22.5°, I 41, hkl 1 1 0
- 2θ = 28.6°, I 100, hkl 0 1 2
- 2θ = 29.0°, I 33, hkl 1 -1 0
- 2θ = 32.9°, I 23, hkl 1 2 1
- 2θ = 33.6°, I 26, hkl -1 1 1
- 2θ = 37.2°, I 30, hkl 1 2 2
- 2θ = 46.3°, I 35, hkl 2 1 3